Starting from a crystal structure in Alexandria, relaxed with PBE, the X-ray powder pattern of SrUCoS4 was calculated for Cu Kα (λ = 1.5418 Å).
Intensities are scaled so that the largest is 100.

Top 10 peaks for 2θ = 10–90°, by angle:
(0 0 1), 2θ = 11.28°, I = 100; (1 1 0), 2θ = 21.15°, I = 73; (0 1 2), 2θ = 27.60°, I = 31; (1 1 -2), 2θ = 28.06°, I = 35; (2 0 0), 2θ = 28.71°, I = 25; (0 2 0), 2θ = 31.39°, I = 76; (1 1 2), 2θ = 34.05°, I = 46; (2 1 -2), 2θ = 35.20°, I = 35; (0 2 2), 2θ = 39.07°, I = 24; (2 2 0), 2θ = 43.06°, I = 38

Cell and atoms:
a b c (Å): 6.4709 5.6995 8.1661
angles (deg): 90.00 106.06 90.00
Space group P2_1/m (No. 11)
Asymmetric unit:
Sr 0.2378 0.2500 0.4399
U 0.2429 0.2500 0.9437
Co 0.2654 0.7500 0.1631
S 0.0670 0.7500 0.3498
S 0.0720 0.7500 0.9029
S 0.4822 0.5101 0.7726